Diffraction record for LaHo2Tl. The X-ray diffraction stick pattern is simulated, not measured: it uses a crystal structure in Alexandria, relaxed with GGA-PBE and λ = 1.5418 Å (Cu Kα).
Neutral-atom scattering factors, no anomalous dispersion.

Crystal structure
Lattice parameters (Å, degrees): 4.814 4.902 11.192 90.00 102.40 90.00
Positions (direct):
1 La 0.193 0.250 0.384
2 La 0.807 0.750 0.616
3 Ho 0.056 0.750 0.111
4 Ho 0.437 0.750 0.876
5 Ho 0.563 0.250 0.124
6 Ho 0.944 0.250 0.889
7 Tl 0.340 0.250 0.681
8 Tl 0.660 0.750 0.319

Top 10 peaks for 2θ from 5° to 70°, low angle first:
- 2θ = 26.26°, d = 3.393 Å, intensity 20
- 2θ = 28.73°, d = 3.107 Å, intensity 53
- 2θ = 32.77°, d = 2.733 Å, intensity 21
- 2θ = 33.17°, d = 2.701 Å, intensity 100
- 2θ = 36.66°, d = 2.451 Å, intensity 29
- 2θ = 37.36°, d = 2.407 Å, intensity 28
- 2θ = 49.98°, d = 1.825 Å, intensity 13
- 2θ = 53.35°, d = 1.717 Å, intensity 20
- 2θ = 63.81°, d = 1.459 Å, intensity 15
- 2θ = 64.74°, d = 1.440 Å, intensity 15

Diffraction record for Nd3Y5Ho3. The X-ray diffraction stick pattern is simulated, not measured: it uses a crystal structure in Alexandria, relaxed with GGA-PBE and λ = 1.5418 Å (Cu Kα).
Neutral-atom scattering factors, no anomalous dispersion.

Crystal structure
Lattice parameters (Å, degrees): 9.806 9.806 5.587 90.00 90.00 120.00
Positions (direct):
1 Nd 0.000 0.446 0.000
2 Nd 0.446 0.000 0.000
3 Nd 0.554 0.554 0.000
4 Y 0.000 0.648 0.500
5 Y 0.333 0.667 0.500
6 Y 0.352 0.352 0.500
7 Y 0.648 0.000 0.500
8 Y 0.667 0.333 0.500
9 Ho 0.000 0.297 0.500
10 Ho 0.297 0.000 0.500
11 Ho 0.703 0.703 0.500

Top 10 peaks for 2θ from 5° to 70°, low angle first:
- 2θ = 10.42°, d = 8.492 Å, intensity 36
- 2θ = 15.86°, d = 5.587 Å, intensity 44
- 2θ = 18.09°, d = 4.903 Å, intensity 87
- 2θ = 26.36°, d = 3.381 Å, intensity 82
- 2θ = 31.61°, d = 2.831 Å, intensity 67
- 2θ = 32.04°, d = 2.794 Å, intensity 56
- 2θ = 32.16°, d = 2.783 Å, intensity 52
- 2θ = 35.55°, d = 2.525 Å, intensity 100
- 2θ = 41.61°, d = 2.170 Å, intensity 44
- 2θ = 45.63°, d = 1.988 Å, intensity 48